The following is a simulated PXRD pattern of Ho5Co2Hg2. It was derived from the GGA-PBE geometry in Alexandria, using Cu Kα.
No peak broadening, texture or thermal motion is included.

Cell and atoms:
```
data_Ho5Co2Hg2
_chemical_formula_sum 'Ho10 Co4 Hg4'
_cell_length_a 8.8085
_cell_length_b 8.8085
_cell_length_c 7.3345
_cell_angle_alpha 90.00
_cell_angle_beta 90.00
_cell_angle_gamma 48.54
_symmetry_space_group_name_H-M 'P 1'
_symmetry_Int_Tables_number 1
_symmetry_space_group_name_Hall 'P 1'
loop_
_atom_site_label
_atom_site_fract_x
_atom_site_fract_y
_atom_site_fract_z
Ho1 0.0000 0.0000 0.0000
Ho2 0.0607 0.6975 0.6805
Ho3 0.1975 0.5607 0.1805
Ho4 0.3025 0.9393 0.6805
Ho5 0.4393 0.8025 0.1805
Ho6 0.5000 0.5000 0.5000
Ho7 0.5607 0.1975 0.8195
Ho8 0.6975 0.0607 0.3195
Ho9 0.8025 0.4393 0.8195
Ho10 0.9393 0.3025 0.3195
Co1 0.1090 0.8910 0.3878
Co2 0.3910 0.6090 0.8878
Co3 0.6090 0.3910 0.1122
Co4 0.8910 0.1090 0.6122
Hg1 0.2206 0.2206 0.0000
Hg2 0.2794 0.2794 0.5000
Hg3 0.7206 0.7206 0.5000
Hg4 0.7794 0.7794 0.0000
```

Top 10 peaks for 10 to 80 degrees two-theta, in order of rising 2θ:
two_theta	d (Å)	Rel. int.
27.47	3.247	27
32.06	2.792	38
32.86	2.726	63
33.08	2.708	99
33.32	2.689	100
34.82	2.577	77
35.56	2.525	56
39.30	2.292	65
39.71	2.270	34
61.19	1.515	45